The following is a calculated powder X-ray diffraction pattern of Sr3CdSb3. It was derived from DFT lattice parameters and positions (GGA-PBE), using λ = 1.5418 Å (Cu Kα).
No peak broadening, texture or thermal motion is included.

Cell and atoms:
```
Sr3CdSb3
1.0
10.3904 -3.5105 0.0000
10.3904 3.5105 0.0000
0.0000 0.0000 13.8318
Sr Cd Sb
12 4 12
Cartesian
6.7683 2.0433 1.8001
6.7683 1.4672 8.7160
10.3904 2.0916 11.8521
10.3904 1.4189 4.9362
14.0125 2.0433 1.8001
14.0125 1.4672 8.7160
6.7683 -1.4672 5.1158
6.7683 -2.0433 12.0318
10.3904 -1.4189 8.8956
10.3904 -2.0916 1.9797
14.0125 -1.4672 5.1158
14.0125 -2.0433 12.0318
1.7825 0.0000 6.9159
8.6079 0.0000 0.0000
12.1729 0.0000 0.0000
18.9983 0.0000 6.9159
6.9844 1.9094 5.1887
6.9844 1.6012 12.1046
10.3904 1.8851 8.5183
10.3904 1.6255 1.6024
13.7964 1.9094 5.1887
13.7964 1.6012 12.1046
6.9844 -1.6012 1.7272
6.9844 -1.9094 8.6432
10.3904 -1.6255 12.2295
10.3904 -1.8851 5.3135
13.7964 -1.6012 1.7272
13.7964 -1.9094 8.6432
```

Principal peaks in the range 15° ≤ 2θ ≤ 90°, by angle:
2theta, I_rel
23.48, 9
25.37, 29
25.74, 74
36.46, 100
36.73, 54
45.17, 24
52.91, 19
59.75, 11
65.44, 12
65.96, 30


The following is a calculated powder X-ray diffraction pattern of CaBiF5. It was derived from DFT lattice parameters and positions (GGA-PBE), using λ = 1.5418 Å (Cu Kα).
No peak broadening, texture or thermal motion is included.

Cell and atoms:
```
CaBiF5
1.0
5.0515 0.0000 0.0000
0.0000 11.2422 0.0000
-0.2846 0.0000 7.5337
Ca Bi F
4 4 20
Cartesian
0.0638 0.1609 1.8837
-0.0786 5.4602 5.6506
4.8454 5.7820 1.8831
4.7031 11.0814 5.6499
2.2808 2.7976 0.2119
2.1385 2.8235 3.9788
2.6283 8.4187 3.5549
2.4860 8.4447 7.3217
0.8255 2.5836 1.8686
0.6832 3.0375 5.6355
0.8105 0.9471 3.9433
0.9529 4.6740 0.1764
0.6973 0.9363 7.4176
0.8397 4.6848 3.6507
1.5347 7.1046 5.6723
1.6770 9.7588 1.9055
1.7103 7.0235 1.9644
1.5680 9.8399 5.7312
3.1989 1.4024 1.8024
3.0565 4.2187 5.5693
3.0899 1.4835 5.6282
3.2322 4.1377 1.8613
3.9272 6.5574 3.8830
4.0695 10.3060 0.1161
3.8140 6.5682 7.3572
3.9563 10.2951 3.5904
4.0836 8.2048 1.8982
3.9413 8.6586 5.6650
```

Principal peaks in the range 15° ≤ 2θ ≤ 90°, by angle:
2theta, I_rel
15.77, 51
17.57, 35
23.68, 100
28.52, 37
30.13, 39
34.18, 20
43.17, 20
43.63, 17
44.41, 24
46.95, 18


The following is a calculated powder X-ray diffraction pattern of Pm3TeN2. It was derived from DFT lattice parameters and positions (GGA-PBE), using λ = 1.5418 Å (Cu Kα).
No peak broadening, texture or thermal motion is included.

Cell and atoms:
```
Pm3TeN2
1.0
3.6408 0.0000 0.0000
0.0000 10.9266 0.0000
0.0000 0.0000 6.4993
Pm Te N
6 2 4
Cartesian
0.0000 0.9914 0.0000
0.0000 9.9352 3.2496
1.8204 1.8812 3.4903
1.8204 4.2774 5.7279
1.8204 6.6492 2.4783
1.8204 9.0454 0.2406
0.0000 4.0236 1.8061
0.0000 6.9030 5.0557
0.0000 2.8422 5.0021
0.0000 8.0844 1.7525
1.8204 0.0539 1.7802
1.8204 10.8727 5.0298
```

Principal peaks in the range 15° ≤ 2θ ≤ 90°, by angle:
2theta, I_rel
28.08, 24
28.66, 34
29.28, 32
32.61, 100
32.79, 20
37.08, 21
38.02, 14
49.68, 14
50.11, 14
63.94, 15


The following is a calculated powder X-ray diffraction pattern of NdNi2H8. It was derived from DFT lattice parameters and positions (GGA-PBE), using λ = 1.5418 Å (Cu Kα).
No peak broadening, texture or thermal motion is included.

Cell and atoms:
```
NdNi2H8
1.0
-2.0751 2.0751 5.0142
2.0751 -2.0751 5.0142
2.0751 2.0751 -5.0142
Nd Ni H
1 2 8
Cartesian
0.0000 0.0000 0.0000
2.0751 0.0000 2.5071
0.0000 2.0751 2.5071
1.1660 1.1660 -1.6535
0.9091 -0.9091 3.3607
1.1660 1.1660 1.6535
0.9091 -0.9091 6.6677
-0.9091 0.9091 3.3607
0.9091 0.9091 3.3607
-0.9091 0.9091 6.6677
0.9091 0.9091 6.6677
```

Principal peaks in the range 15° ≤ 2θ ≤ 90°, by angle:
2theta, I_rel
23.19, 80
34.45, 31
35.44, 100
35.82, 23
43.62, 26
49.97, 21
56.73, 14
57.67, 24
64.12, 17
74.77, 21


The following is a calculated powder X-ray diffraction pattern of Y3Ga2. It was derived from DFT lattice parameters and positions (GGA-PBE), using λ = 1.5418 Å (Cu Kα).
No peak broadening, texture or thermal motion is included.

Cell and atoms:
```
Y3Ga2
1.0
-5.8379 5.8379 7.4540
5.8379 -5.8379 7.4540
5.8379 5.8379 -7.4540
Y Ga
24 16
Cartesian
6.6267 -3.4718 5.4265
2.3661 -0.7888 2.0275
5.8379 0.0000 2.1743
6.6267 3.4718 -2.0275
3.8606 1.9773 0.0000
9.3097 0.7888 2.0275
3.4718 5.0491 -2.0275
3.8606 -1.9773 7.4540
0.7888 2.3661 2.0275
5.8379 0.0000 5.2797
2.3661 0.7888 5.4265
6.6267 3.4718 2.0275
-0.7888 2.3661 5.4265
3.4718 5.0491 2.0275
0.0000 5.8379 2.1743
5.0491 3.4718 5.4265
1.9773 7.8152 0.0000
2.3661 0.7888 9.4815
-3.4718 5.0491 5.4265
1.9773 3.8606 7.4540
-0.7888 2.3661 9.4815
0.0000 5.8379 5.2797
3.4718 6.6267 5.4265
-0.7888 9.3097 2.0275
0.0000 0.0000 0.0000
7.9118 -2.0739 2.9966
7.2179 1.3800 0.0000
3.7640 -2.0739 4.4574
0.0000 0.0000 3.7270
3.7640 2.0739 2.9966
1.3800 4.4579 0.0000
7.9118 2.0739 4.4574
0.0000 0.0000 7.4540
-2.0739 3.7640 2.9966
4.4579 1.3800 7.4540
2.0739 3.7640 4.4574
0.0000 0.0000 11.1810
2.0739 7.9118 2.9966
-1.3800 4.4579 7.4540
-2.0739 7.9118 4.4574
```

Principal peaks in the range 15° ≤ 2θ ≤ 90°, by angle:
2theta, I_rel
32.17, 70
32.36, 24
32.54, 29
33.01, 38
34.18, 100
34.35, 27
34.64, 19
36.15, 14
36.52, 33
61.41, 15


The following is a calculated powder X-ray diffraction pattern of SiIr3. It was derived from DFT lattice parameters and positions (GGA-PBE), using λ = 1.5418 Å (Cu Kα).
No peak broadening, texture or thermal motion is included.

Cell and atoms:
```
SiIr3
1.0
-2.6387 2.6387 4.0267
2.6387 -2.6387 4.0267
2.6387 2.6387 -4.0267
Si Ir
2 6
Cartesian
2.6387 0.0000 2.0134
0.0000 2.6387 2.0134
3.6117 0.9730 0.0000
0.0000 0.0000 2.0134
0.9730 1.6657 0.0000
1.6657 0.9730 4.0267
0.0000 0.0000 6.0401
-0.9730 1.6657 4.0267
```

Principal peaks in the range 15° ≤ 2θ ≤ 90°, by angle:
2theta, I_rel
32.72, 40
39.80, 62
40.89, 100
45.03, 30
48.81, 21
51.56, 32
55.02, 18
73.74, 16
75.17, 22
80.88, 16


The following is a calculated powder X-ray diffraction pattern of Rb2IrPbI6. It was derived from DFT lattice parameters and positions (GGA-PBE), using λ = 1.5418 Å (Cu Kα).
No peak broadening, texture or thermal motion is included.

Cell and atoms:
```
Rb2IrPbI6
1.0
-4.1921 4.1921 5.9409
4.1921 -4.1921 5.9409
4.1921 4.1921 -5.9409
Rb Ir Pb I
2 1 1 6
Cartesian
4.1921 0.0000 2.9704
0.0000 4.1921 2.9704
0.0000 0.0000 0.0000
0.0000 0.0000 5.9409
0.0000 0.0000 2.7410
1.9368 1.9368 0.0000
2.2553 -2.2553 5.9409
-2.2553 2.2553 5.9409
0.0000 0.0000 9.1408
2.2553 2.2553 5.9409
```

Principal peaks in the range 15° ≤ 2θ ≤ 90°, by angle:
2theta, I_rel
21.18, 30
26.01, 31
30.13, 100
33.78, 36
37.12, 13
43.13, 71
45.88, 15
53.51, 24
71.10, 19
79.08, 21


The following is a calculated powder X-ray diffraction pattern of Y2SnH. It was derived from DFT lattice parameters and positions (GGA-PBE), using λ = 1.5418 Å (Cu Kα).
No peak broadening, texture or thermal motion is included.

Cell and atoms:
```
Y2SnH
1.0
4.5223 0.0000 0.0000
0.0000 4.5223 0.0000
0.0000 0.0000 8.5007
Y Sn H
4 2 2
Cartesian
1.1306 1.1306 1.2798
1.1306 3.3917 4.2503
3.3917 1.1306 4.2503
3.3917 3.3917 7.2208
1.1306 1.1306 6.6426
3.3917 3.3917 1.8580
1.1306 1.1306 3.5615
3.3917 3.3917 4.9392
```

Principal peaks in the range 15° ≤ 2θ ≤ 90°, by angle:
2theta, I_rel
27.90, 26
29.85, 80
31.57, 38
35.12, 100
37.45, 26
39.87, 61
51.72, 40
55.85, 17
57.65, 21
69.33, 28


The following is a calculated powder X-ray diffraction pattern of La5Pr2Sc. It was derived from DFT lattice parameters and positions (GGA-PBE), using λ = 1.5418 Å (Cu Kα).
No peak broadening, texture or thermal motion is included.

Cell and atoms:
```
La5Pr2Sc
1.0
5.0726 -7.4333 0.0000
5.0726 7.4333 0.0000
0.0000 0.0000 3.7028
La Pr Sc
5 2 1
Cartesian
0.0000 0.0000 0.0000
2.6443 1.7601 1.8514
2.6443 -1.7601 1.8514
7.5009 1.7601 1.8514
7.5009 -1.7601 1.8514
5.0726 3.7533 0.0000
5.0726 -3.7533 0.0000
5.0726 0.0000 0.0000
```

Principal peaks in the range 15° ≤ 2θ ≤ 90°, by angle:
2theta, I_rel
29.84, 100
34.18, 35
35.39, 16
49.02, 6
49.21, 6
50.02, 23
58.47, 14
58.60, 14
60.14, 12
62.07, 6


The following is a calculated powder X-ray diffraction pattern of Ni3Os. It was derived from DFT lattice parameters and positions (GGA-PBE), using λ = 1.5418 Å (Cu Kα).
No peak broadening, texture or thermal motion is included.

Cell and atoms:
```
Ni3Os
1.0
2.6109 0.0000 0.0000
0.0000 2.6109 0.0000
0.0000 0.0000 6.9458
Ni Os
3 1
Cartesian
0.0000 0.0000 0.0000
1.3054 1.3054 1.6877
1.3054 1.3054 5.2581
0.0000 0.0000 3.4729
```

Principal peaks in the range 15° ≤ 2θ ≤ 90°, by angle:
2theta, I_rel
25.65, 10
34.35, 10
36.78, 18
43.36, 100
49.36, 34
51.20, 6
52.71, 14
72.39, 10
75.10, 19
88.30, 25


The following is a calculated powder X-ray diffraction pattern of Y2ZrTe2N2. It was derived from DFT lattice parameters and positions (GGA-PBE), using λ = 1.5418 Å (Cu Kα).
No peak broadening, texture or thermal motion is included.

Cell and atoms:
```
Y2ZrTe2N2
1.0
-2.1243 2.1243 8.3610
2.1243 -2.1243 8.3610
2.1243 2.1243 -8.3610
Y Zr Te N
2 1 2 2
Cartesian
0.0000 0.0000 1.6311
0.0000 0.0000 15.0909
0.0000 0.0000 8.3610
0.0000 0.0000 5.3778
0.0000 0.0000 11.3442
2.1243 0.0000 0.0000
0.0000 2.1243 0.0000
```

Principal peaks in the range 15° ≤ 2θ ≤ 90°, by angle:
2theta, I_rel
26.38, 9
29.74, 81
34.12, 100
42.56, 37
55.63, 48
61.76, 12
63.69, 7
70.03, 14
72.48, 11
87.84, 13


The following is a calculated powder X-ray diffraction pattern of CsBaTc2O8. It was derived from DFT lattice parameters and positions (GGA-PBE), using λ = 1.5418 Å (Cu Kα).
No peak broadening, texture or thermal motion is included.

Cell and atoms:
```
CsBaTc2O8
1.0
5.4894 -3.1557 0.0000
5.4894 3.1557 0.0000
-3.5883 0.0000 7.1888
Cs Ba Tc O
1 1 2 8
Cartesian
0.0000 0.0000 0.0000
3.6953 0.0000 3.5944
0.0330 0.0000 4.9506
7.3576 0.0000 2.2382
2.7066 1.7015 1.6840
0.0209 0.0000 3.1878
1.7157 0.0000 5.4926
4.6839 1.7015 5.5048
2.7066 -1.7015 1.6840
5.6749 0.0000 1.6963
7.3696 0.0000 4.0010
4.6839 -1.7015 5.5048
```

Principal peaks in the range 15° ≤ 2θ ≤ 90°, by angle:
2theta, I_rel
23.10, 95
23.24, 47
28.22, 100
36.95, 33
37.26, 25
46.88, 12
47.09, 24
50.01, 13
56.18, 14
58.29, 13